Structure and simulated X-ray diffraction stick pattern of LaAl4Zn4 (a GGA-PBE-relaxed structure; Cu Kα (λ = 1.5418 Å)).
Neutral-atom scattering factors, no anomalous dispersion.

Unit cell a=8.458 b=8.458 c=4.832 alpha=90.00 beta=90.00 gamma=90.00
Space group P4_2/n (No. 86, origin choice 2)
One atom of each set of equivalent atoms:
La1 0.250 0.250 0.250 x2
Al1 0.123 0.836 0.713 x8
Zn1 0.005 0.114 0.781 x8

Main lines, low angle first (2θ from 10° to 90°):
- 2θ = 29.88°, 2.990 Å, I = 16, hkl 2 2 0
- 2θ = 30.00°, 2.979 Å, I = 100, hkl 1 2 1
- 2θ = 33.50°, 2.675 Å, I = 51, hkl 3 1 0
- 2θ = 36.91°, 2.435 Å, I = 54, hkl 3 0 1
- 2θ = 37.22°, 2.416 Å, I = 35, hkl 0 0 2
- 2θ = 42.85°, 2.110 Å, I = 40, hkl 2 3 1
- 2θ = 48.12°, 1.891 Å, I = 16, hkl 2 4 0
- 2θ = 50.93°, 1.793 Å, I = 27, hkl 3 1 2
- 2θ = 57.74°, 1.597 Å, I = 19, hkl 3 4 1
- 2θ = 70.46°, 1.336 Å, I = 15, hkl 6 1 1

***

Structure and simulated X-ray diffraction stick pattern of Pr6NdHo6 (a GGA-PBE-relaxed structure; Cu Kα (λ = 1.5418 Å)).
Neutral-atom scattering factors, no anomalous dispersion.

Unit cell a=6.7567 b=6.7567 c=11.5193 alpha=90.00 beta=90.00 gamma=120.00
Space group P6/mmm (No. 191)
One atom of each set of equivalent atoms:
Pr1 0.0000 0.0000 0.1530 x2
Pr2 0.3333 0.6667 0.0000 x2
Pr3 0.3333 0.6667 0.5000 x2
Nd1 0.0000 0.0000 0.5000 x1
Ho1 0.0000 0.5000 0.2521 x6

Main lines, low angle first (2θ from 10° to 90°):
- 2θ = 26.38°, 3.378 Å, I = 31, hkl 1 1 0
- 2θ = 27.79°, 3.210 Å, I = 22, hkl 1 0 3
- 2θ = 30.56°, 2.926 Å, I = 58, hkl 2 0 0
- 2θ = 30.68°, 2.914 Å, I = 81, hkl 1 1 2
- 2θ = 31.05°, 2.880 Å, I = 32, hkl 0 0 4
- 2θ = 34.38°, 2.608 Å, I = 100, hkl 2 0 2
- 2θ = 34.72°, 2.584 Å, I = 31, hkl 1 0 4
- 2θ = 54.31°, 1.689 Å, I = 36, hkl 2 2 0
- 2θ = 55.01°, 1.669 Å, I = 29, hkl 1 1 6
- 2θ = 63.89°, 1.457 Å, I = 25, hkl 2 2 4